This entry pairs a crystal structure of Sm12Ni6Ge with its calculated powder XRD pattern. Radiation: Cu Ka. Structure: a cell relaxed with PBE.
Peak positions follow from Bragg's law for the DFT cell and can differ from measured ones.

Crystal structure
```
data_Sm12Ni6Ge
_chemical_formula_sum 'Sm24 Ni12 Ge2'
_symmetry_space_group_name_H-M 'I m -3'
_symmetry_Int_Tables_number 204
_symmetry_space_group_name_Hall '-I 2 2 3'
_cell_length_a 9.8674
_cell_length_b 9.8674
_cell_length_c 9.8674
_cell_angle_alpha 90.00
_cell_angle_beta 90.00
_cell_angle_gamma 90.00
loop_
_atom_site_label
_atom_site_type_symbol
_atom_site_fract_x
_atom_site_fract_y
_atom_site_fract_z
Sm1 Sm 0.0000 0.3031 0.1859
Ni1 Ni 0.0000 0.1233 0.5000
Ge1 Ge 0.0000 0.0000 0.0000
```

Main lines, low angle first (5° ≤ 2θ ≤ 70°):
2theta, I_rel, (hkl)
28.61, 40, 3 0 1
31.41, 36, 2 2 2
33.99, 100, 3 1 2
46.95, 19, 5 0 1
54.20, 35, 5 3 0
57.58, 33, 5 2 3

=====

This entry pairs a crystal structure of TbSmNi2Ge2 with its calculated powder XRD pattern. Radiation: Cu Ka. Structure: a cell relaxed with PBE.
Peak positions follow from Bragg's law for the DFT cell and can differ from measured ones.

Crystal structure
```
data_TbSmNi2Ge2
_chemical_formula_sum 'Tb1 Sm1 Ni2 Ge2'
_symmetry_space_group_name_H-M 'P -3 m 1'
_symmetry_Int_Tables_number 164
_symmetry_space_group_name_Hall '-P 3 2"'
_cell_length_a 4.1402
_cell_length_b 4.1402
_cell_length_c 7.8092
_cell_angle_alpha 90.00
_cell_angle_beta 90.00
_cell_angle_gamma 120.00
loop_
_atom_site_label
_atom_site_type_symbol
_atom_site_fract_x
_atom_site_fract_y
_atom_site_fract_z
Tb1 Tb 0.0000 0.0000 0.0000
Sm1 Sm 0.0000 0.0000 0.5000
Ni1 Ni 0.3333 0.6667 0.2398
Ge1 Ge 0.3333 0.6667 0.7545
```

Main lines, low angle first (5° ≤ 2θ ≤ 70°):
2theta, I_rel, (hkl)
24.83, 15, 1 0 0
33.94, 100, 0 1 2
43.73, 43, 1 1 0
46.52, 12, 0 0 4
56.48, 23, 2 0 2
65.75, 24, 1 1 4

=====

This entry pairs a crystal structure of Ni7SnGe2 with its calculated powder XRD pattern. Radiation: Cu Ka. Structure: a cell relaxed with PBE.
Peak positions follow from Bragg's law for the DFT cell and can differ from measured ones.

Crystal structure
```
data_Ni7SnGe2
_chemical_formula_sum 'Ni14 Sn2 Ge4'
_symmetry_space_group_name_H-M 'I 4/m m m'
_symmetry_Int_Tables_number 139
_symmetry_space_group_name_Hall '-I 4 2'
_cell_length_a 3.7808
_cell_length_b 3.7808
_cell_length_c 18.6833
_cell_angle_alpha 90.00
_cell_angle_beta 90.00
_cell_angle_gamma 90.00
loop_
_atom_site_label
_atom_site_type_symbol
_atom_site_fract_x
_atom_site_fract_y
_atom_site_fract_z
Ni1 Ni 0.0000 0.0000 0.0000
Ni2 Ni 0.0000 0.5000 0.0984
Ni3 Ni 0.0000 0.5000 0.2500
Sn1 Sn 0.0000 0.0000 0.5000
Ge1 Ge 0.0000 0.0000 0.1732
```

Main lines, low angle first (5° ≤ 2θ ≤ 70°):
2theta, I_rel, (hkl)
27.60, 34, 1 0 3
34.91, 9, 1 1 2
38.81, 14, 1 1 4
44.68, 100, 1 1 6
48.13, 45, 2 0 0
56.39, 10, 2 1 3

=====

This entry pairs a crystal structure of Sr2Ni2Ge with its calculated powder XRD pattern. Radiation: Cu Ka. Structure: a cell relaxed with PBE.
Peak positions follow from Bragg's law for the DFT cell and can differ from measured ones.

Crystal structure
```
data_Sr2Ni2Ge
_chemical_formula_sum 'Sr6 Ni6 Ge3'
_symmetry_space_group_name_H-M 'R -3 m'
_symmetry_Int_Tables_number 166
_symmetry_space_group_name_Hall '-R 3 2"'
_cell_length_a 4.1508
_cell_length_b 4.1508
_cell_length_c 27.3459
_cell_angle_alpha 90.00
_cell_angle_beta 90.00
_cell_angle_gamma 120.00
loop_
_atom_site_label
_atom_site_type_symbol
_atom_site_fract_x
_atom_site_fract_y
_atom_site_fract_z
Sr1 Sr 0.0000 0.0000 0.0752
Ni1 Ni 0.0000 0.0000 0.1822
Ge1 Ge 0.0000 0.0000 0.5000
```

Main lines, low angle first (5° ≤ 2θ ≤ 70°):
2theta, I_rel, (hkl)
9.70, 100, 0 0 3
24.98, 21, 1 0 1
33.89, 38, 1 0 7
36.27, 16, 0 1 8
43.61, 37, 1 1 0
53.46, 17, 1 1 9

=====

This entry pairs a crystal structure of SrNiGe3 with its calculated powder XRD pattern. Radiation: Cu Ka. Structure: a cell relaxed with PBE.
Peak positions follow from Bragg's law for the DFT cell and can differ from measured ones.

Crystal structure
```
data_SrNiGe3
_chemical_formula_sum 'Sr2 Ni2 Ge6'
_symmetry_space_group_name_H-M 'P 63/m m c'
_symmetry_Int_Tables_number 194
_symmetry_space_group_name_Hall '-P 6c 2c'
_cell_length_a 6.2187
_cell_length_b 6.2187
_cell_length_c 5.8573
_cell_angle_alpha 90.00
_cell_angle_beta 90.00
_cell_angle_gamma 120.00
loop_
_atom_site_label
_atom_site_type_symbol
_atom_site_fract_x
_atom_site_fract_y
_atom_site_fract_z
Sr1 Sr 0.3333 0.6667 0.2500
Ni1 Ni 0.0000 0.0000 0.0000
Ge1 Ge 0.1890 0.3780 0.7500
```

Main lines, low angle first (5° ≤ 2θ ≤ 70°):
2theta, I_rel, (hkl)
30.52, 26, 0 0 2
34.87, 20, 1 0 2
36.73, 100, 2 0 1
45.77, 37, 2 0 2
58.38, 25, 2 0 3
59.45, 20, 2 2 0

=====

This entry pairs a crystal structure of SrNi9Ge4 with its calculated powder XRD pattern. Radiation: Cu Ka. Structure: a cell relaxed with PBE.
Peak positions follow from Bragg's law for the DFT cell and can differ from measured ones.

Crystal structure
```
data_SrNi9Ge4
_chemical_formula_sum 'Sr4 Ni36 Ge16'
_symmetry_space_group_name_H-M 'I 4/m c m'
_symmetry_Int_Tables_number 140
_symmetry_space_group_name_Hall '-I 4 2c'
_cell_length_a 8.0042
_cell_length_b 8.0042
_cell_length_c 11.8570
_cell_angle_alpha 90.00
_cell_angle_beta 90.00
_cell_angle_gamma 90.00
loop_
_atom_site_label
_atom_site_type_symbol
_atom_site_fract_x
_atom_site_fract_y
_atom_site_fract_z
Sr1 Sr 0.0000 0.0000 0.2500
Ni1 Ni 0.0000 0.5000 0.0000
Ni2 Ni 0.0686 0.2043 0.0000
Ni3 Ni 0.1233 0.3767 0.1806
Ge1 Ge 0.1735 0.3265 0.3778
```

Main lines, low angle first (5° ≤ 2θ ≤ 70°):
2theta, I_rel, (hkl)
15.66, 28, 1 1 0
37.77, 47, 2 0 4
38.68, 94, 3 1 2
45.91, 100, 0 0 6
46.94, 62, 3 2 3
47.46, 68, 4 1 1

=====

This entry pairs a crystal structure of Tb2Ni5Ge4 with its calculated powder XRD pattern. Radiation: Cu Ka. Structure: a cell relaxed with PBE.
Peak positions follow from Bragg's law for the DFT cell and can differ from measured ones.

Crystal structure
```
data_Tb2Ni5Ge4
_chemical_formula_sum 'Tb8 Ni20 Ge16'
_symmetry_space_group_name_H-M 'F m m m'
_symmetry_Int_Tables_number 69
_symmetry_space_group_name_Hall '-F 2 2'
_cell_length_a 5.3887
_cell_length_b 9.4069
_cell_length_c 13.9842
_cell_angle_alpha 90.00
_cell_angle_beta 90.00
_cell_angle_gamma 90.00
loop_
_atom_site_label
_atom_site_type_symbol
_atom_site_fract_x
_atom_site_fract_y
_atom_site_fract_z
Tb1 Tb 0.0000 0.0000 0.1383
Ni1 Ni 0.0000 0.0000 0.5000
Ni2 Ni 0.2500 0.2500 0.0000
Ni3 Ni 0.2500 0.2500 0.2500
Ge1 Ge 0.0000 0.1530 0.3693
```

Main lines, low angle first (5° ≤ 2θ ≤ 70°):
2theta, I_rel, (hkl)
27.01, 22, 1 1 3
31.89, 28, 0 2 4
33.69, 35, 1 3 1
38.45, 100, 1 3 3
42.35, 52, 2 0 4
46.68, 17, 1 3 5

=====

This entry pairs a crystal structure of Tb3Ni6Ge2 with its calculated powder XRD pattern. Radiation: Cu Ka. Structure: a cell relaxed with PBE.
Peak positions follow from Bragg's law for the DFT cell and can differ from measured ones.

Crystal structure
```
data_Tb3Ni6Ge2
_chemical_formula_sum 'Tb12 Ni24 Ge8'
_symmetry_space_group_name_H-M 'I m -3 m'
_symmetry_Int_Tables_number 229
_symmetry_space_group_name_Hall '-I 4 2 3'
_cell_length_a 8.8825
_cell_length_b 8.8825
_cell_length_c 8.8825
_cell_angle_alpha 90.00
_cell_angle_beta 90.00
_cell_angle_gamma 90.00
loop_
_atom_site_label
_atom_site_type_symbol
_atom_site_fract_x
_atom_site_fract_y
_atom_site_fract_z
Tb1 Tb 0.0000 0.0000 0.2865
Ni1 Ni 0.0000 0.3352 0.3352
Ge1 Ge 0.2500 0.2500 0.2500
```

Main lines, low angle first (5° ≤ 2θ ≤ 70°):
2theta, I_rel, (hkl)
24.55, 20, 2 1 1
31.86, 38, 3 1 0
34.99, 48, 2 2 2
37.90, 30, 3 2 1
40.63, 31, 4 0 0
43.21, 100, 3 3 0

=====

This entry pairs a crystal structure of TbNi3Ge2 with its calculated powder XRD pattern. Radiation: Cu Ka. Structure: a cell relaxed with PBE.
Peak positions follow from Bragg's law for the DFT cell and can differ from measured ones.

Crystal structure
```
data_TbNi3Ge2
_chemical_formula_sum 'Tb4 Ni12 Ge8'
_symmetry_space_group_name_H-M 'C 1 2/m 1'
_symmetry_Int_Tables_number 12
_cell_length_a 14.9197
_cell_length_b 3.8798
_cell_length_c 7.1121
_cell_angle_alpha 90.00
_cell_angle_beta 115.66
_cell_angle_gamma 90.00
loop_
_symmetry_equiv_pos_as_xyz
'x,y,z'
'-x,-y,-z'
'-x,y,-z'
'x,-y,z'
'x+1/2,y+1/2,z'
'-x+1/2,-y+1/2,-z'
'-x+1/2,y+1/2,-z'
'x+1/2,-y+1/2,z'
loop_
_atom_site_label
_atom_site_type_symbol
_atom_site_fract_x
_atom_site_fract_y
_atom_site_fract_z
Tb1 Tb 0.1513 0.0000 0.0691
Ni1 Ni 0.0395 0.0000 0.3779
Ni2 Ni 0.0907 0.5000 0.6638
Ni3 Ni 0.1862 0.5000 0.4480
Ge1 Ge 0.0215 0.5000 0.1887
Ge2 Ge 0.1908 0.0000 0.6825
```

Main lines, low angle first (5° ≤ 2θ ≤ 70°):
2theta, I_rel, (hkl)
30.47, 40, 3 1 0
34.65, 55, 1 1 -2
35.88, 29, 2 0 2
37.14, 100, 3 1 1
40.50, 76, 5 1 -2
46.83, 54, 0 2 0

=====

This entry pairs a crystal structure of TbNi3Ge with its calculated powder XRD pattern. Radiation: Cu Ka. Structure: a cell relaxed with PBE.
Peak positions follow from Bragg's law for the DFT cell and can differ from measured ones.

Crystal structure
```
data_TbNi3Ge
_chemical_formula_sum 'Tb2 Ni6 Ge2'
_symmetry_space_group_name_H-M 'C m m m'
_symmetry_Int_Tables_number 65
_symmetry_space_group_name_Hall '-C 2 2'
_cell_length_a 5.4187
_cell_length_b 7.1272
_cell_length_c 4.4256
_cell_angle_alpha 90.00
_cell_angle_beta 90.00
_cell_angle_gamma 90.00
loop_
_atom_site_label
_atom_site_type_symbol
_atom_site_fract_x
_atom_site_fract_y
_atom_site_fract_z
Tb1 Tb 0.0000 0.0000 0.0000
Ni1 Ni 0.0000 0.5000 0.0000
Ni2 Ni 0.2500 0.2500 0.5000
Ge1 Ge 0.0000 0.5000 0.5000
```

Main lines, low angle first (5° ≤ 2θ ≤ 70°):
2theta, I_rel, (hkl)
28.90, 83, 1 1 1
32.25, 87, 0 2 1
38.98, 52, 2 0 1
40.78, 54, 0 0 2
41.89, 100, 2 2 0
59.89, 67, 2 2 2

=====

This entry pairs a crystal structure of TbNi12Ge4 with its calculated powder XRD pattern. Radiation: Cu Ka. Structure: a cell relaxed with PBE.
Peak positions follow from Bragg's law for the DFT cell and can differ from measured ones.

Crystal structure
```
data_TbNi12Ge4
_chemical_formula_sum 'Tb2 Ni24 Ge8'
_symmetry_space_group_name_H-M 'I m -3'
_symmetry_Int_Tables_number 204
_symmetry_space_group_name_Hall '-I 2 2 3'
_cell_length_a 7.9184
_cell_length_b 7.9184
_cell_length_c 7.9184
_cell_angle_alpha 90.00
_cell_angle_beta 90.00
_cell_angle_gamma 90.00
loop_
_atom_site_label
_atom_site_type_symbol
_atom_site_fract_x
_atom_site_fract_y
_atom_site_fract_z
Tb1 Tb 0.0000 0.0000 0.0000
Ni1 Ni 0.0000 0.1529 0.3540
Ge1 Ge 0.2500 0.2500 0.2500
```

Main lines, low angle first (5° ≤ 2θ ≤ 70°):
2theta, I_rel, (hkl)
31.97, 28, 2 2 0
35.86, 100, 3 1 0
42.73, 50, 3 2 1
51.62, 18, 4 2 0
56.97, 38, 4 2 2
59.53, 39, 4 1 3

=====

This entry pairs a crystal structure of Tc3NiGe with its calculated powder XRD pattern. Radiation: Cu Ka. Structure: a cell relaxed with PBE.
Peak positions follow from Bragg's law for the DFT cell and can differ from measured ones.

Crystal structure
```
data_Tc3NiGe
_chemical_formula_sum 'Tc3 Ni1 Ge1'
_symmetry_space_group_name_H-M 'P m -3 m'
_symmetry_Int_Tables_number 221
_symmetry_space_group_name_Hall '-P 4 2 3'
_cell_length_a 4.4490
_cell_length_b 4.4490
_cell_length_c 4.4490
_cell_angle_alpha 90.00
_cell_angle_beta 90.00
_cell_angle_gamma 90.00
loop_
_atom_site_label
_atom_site_type_symbol
_atom_site_fract_x
_atom_site_fract_y
_atom_site_fract_z
Tc1 Tc 0.0000 0.0000 0.5000
Ni1 Ni 0.0000 0.0000 0.0000
Ge1 Ge 0.5000 0.5000 0.5000
```

Main lines, low angle first (5° ≤ 2θ ≤ 70°):
2theta, I_rel, (hkl)
19.96, 27, 1 0 0
34.93, 100, 1 1 1
40.55, 99, 2 0 0
45.59, 12, 2 1 0
58.70, 65, 2 2 0
62.64, 5, 3 0 0

=====

This entry pairs a crystal structure of ThNi6Ge2 with its calculated powder XRD pattern. Radiation: Cu Ka. Structure: a cell relaxed with PBE.
Peak positions follow from Bragg's law for the DFT cell and can differ from measured ones.

Crystal structure
```
data_ThNi6Ge2
_chemical_formula_sum 'Th2 Ni12 Ge4'
_symmetry_space_group_name_H-M 'I m m m'
_symmetry_Int_Tables_number 71
_symmetry_space_group_name_Hall '-I 2 2'
_cell_length_a 3.8813
_cell_length_b 5.6907
_cell_length_c 12.2225
_cell_angle_alpha 90.00
_cell_angle_beta 90.00
_cell_angle_gamma 90.00
loop_
_atom_site_label
_atom_site_type_symbol
_atom_site_fract_x
_atom_site_fract_y
_atom_site_fract_z
Th1 Th 0.0000 0.0000 0.0000
Ni1 Ni 0.0000 0.1923 0.5000
Ni2 Ni 0.0000 0.2427 0.3079
Ge1 Ge 0.0000 0.5000 0.1461
```

Main lines, low angle first (5° ≤ 2θ ≤ 70°):
2theta, I_rel, (hkl)
26.91, 59, 0 1 3
31.51, 67, 1 1 2
39.98, 100, 1 2 1
40.79, 60, 1 1 4
46.81, 36, 2 0 0
54.86, 64, 1 2 5